Structure and calculated powder diffraction line list of Ac2NiHg2O6 (a cell relaxed with GGA+U; Cu Ka).

Peak list (10 most intense, 2θ = 5–70°, in order of falling intensity)
d = 3.183 Å, 28.04 deg, I 100.0; d = 2.797 Å, 32.00 deg, I 68.5; d = 1.753 Å, 52.17 deg, I 40.3; d = 2.101 Å, 43.06 deg, I 34.1; d = 1.837 Å, 49.61 deg, I 21.0; d = 1.383 Å, 67.75 deg, I 17.0; d = 1.591 Å, 57.96 deg, I 16.1; d = 1.557 Å, 59.37 deg, I 12.5; d = 2.743 Å, 32.65 deg, I 8.9; d = 5.409 Å, 16.39 deg, I 8.9

Structural model:
```
data_Ac2NiHg2O6
_space_group_name_H-M_alt 'R -3 m'
_space_group_IT_number 166
_space_group_name_Hall '-R 3 2"'
_cell_length_a 6.3651
_cell_length_b 6.3651
_cell_length_c 16.2261
_cell_angle_alpha 90.00
_cell_angle_beta 90.00
_cell_angle_gamma 120.00
loop_
_atom_site_label
_atom_site_type_symbol
_atom_site_fract_x
_atom_site_fract_y
_atom_site_fract_z
Ac1 Ac 0.0000 0.0000 0.2004
Ni1 Ni 0.0000 0.0000 0.0000
Hg1 Hg 0.0000 0.0000 0.4088
O1 O 0.0540 0.5270 0.7565
```